No. 1
The following is a computed powder diffraction line list of Ag3SbCl. It was derived from a structure optimized by DFT (PBE), using Cu Kα X-rays.

Main lines, sorted by position (2θ = 10–90°):
| two_theta | I_rel |
| --- | --- |
| 11.6 | 86 |
| 36.1 | 46 |
| 36.6 | 100 |
| 37.9 | 28 |
| 39.9 | 43 |
| 42.2 | 40 |

Structural model:
a b c (Å): 4.975 6.073 7.619
angles (deg): 90.00 90.12 90.00
Space group P2_1/m (No. 11)
Unique sites:
Ag 0.249 0.004 0.274
Ag 0.251 0.750 0.634
Sb 0.250 0.250 0.588
Cl 0.249 0.750 0.999

***

No. 2
The following is a computed powder diffraction line list of ScAg3Cl7. It was derived from a structure optimized by DFT (PBE), using Cu Kα X-rays.

Main lines, sorted by position (2θ = 10–90°):
| two_theta | I_rel |
| --- | --- |
| 13.1 | 32 |
| 15.2 | 100 |
| 24.0 | 30 |
| 25.9 | 67 |
| 32.5 | 60 |
| 47.2 | 31 |

Structural model:
a b c (Å): 12.322 8.253 6.531
angles (deg): 90.00 108.53 90.00
Space group Cm (No. 8)
Unique sites:
Sc 0.000 0.000 0.000
Ag 0.000 0.225 0.528
Ag 0.130 0.500 0.086
Cl 0.080 0.500 0.677
Cl 0.116 0.221 0.265
Cl 0.146 0.000 0.827
Cl 0.373 0.500 0.255
Cl 0.381 0.286 0.780

***

No. 3
The following is a computed powder diffraction line list of Sc2AgCl8. It was derived from a structure optimized by DFT (PBE), using Cu Kα X-rays.

Main lines, sorted by position (2θ = 10–90°):
| two_theta | I_rel |
| --- | --- |
| 17.7 | 100 |
| 23.4 | 28 |
| 29.5 | 27 |
| 35.9 | 24 |
| 38.0 | 28 |
| 47.9 | 20 |

Structural model:
a b c (Å): 7.6015 7.6015 7.6819
angles (deg): 90.00 90.00 120.00
Space group P-3m1 (No. 164)
Unique sites:
Sc 0.3333 0.6667 0.2858
Ag 0.0000 0.0000 0.0000
Cl 0.1584 0.3168 0.2125
Cl 0.3333 0.6667 0.5851

***

No. 4
The following is a computed powder diffraction line list of ScTlAgCl5. It was derived from a structure optimized by DFT (PBE), using Cu Kα X-rays.

Main lines, sorted by position (2θ = 10–90°):
| two_theta | I_rel |
| --- | --- |
| 20.1 | 89 |
| 22.4 | 95 |
| 24.0 | 56 |
| 24.5 | 100 |
| 28.9 | 77 |
| 40.7 | 51 |

Structural model:
a b c (Å): 8.454 12.248 9.767
angles (deg): 90.00 110.40 90.00
Space group C2/c (No. 15)
Unique sites:
Sc 0.000 0.000 0.000
Tl 0.000 0.340 0.250
Ag 0.000 0.312 0.750
Cl 0.000 0.059 0.250
Cl 0.095 0.190 0.579
Cl 0.198 0.448 0.938

***

No. 5
The following is a computed powder diffraction line list of Ag4Se2Cl5. It was derived from a structure optimized by DFT (PBE), using Cu Kα X-rays.

Main lines, sorted by position (2θ = 10–90°):
| two_theta | I_rel |
| --- | --- |
| 10.3 | 100 |
| 16.7 | 68 |
| 21.5 | 70 |
| 24.0 | 72 |
| 29.1 | 94 |
| 31.0 | 70 |

Structural model:
a b c (Å): 4.019 8.759 8.855
angles (deg): 75.02 86.40 77.21
Space group P-1 (No. 2)
Unique sites:
Ag 0.018 0.490 0.210
Ag 0.260 0.888 0.358
Se 0.475 0.578 0.375
Cl 0.081 0.182 0.385
Cl 0.257 0.120 0.828
Cl 0.500 0.500 0.000

***

No. 6
The following is a computed powder diffraction line list of Ag2SeCl6. It was derived from a structure optimized by DFT (PBE), using Cu Kα X-rays.

Main lines, sorted by position (2θ = 10–90°):
| two_theta | I_rel |
| --- | --- |
| 16.0 | 100 |
| 24.9 | 98 |
| 30.7 | 36 |
| 39.0 | 45 |
| 39.5 | 73 |
| 47.4 | 33 |

Structural model:
a b c (Å): 6.696 6.372 13.095
angles (deg): 90.00 120.70 90.00
Space group P2_1/c (No. 14)
Unique sites:
Ag 0.189 0.002 0.189
Se 0.500 0.000 0.000
Cl 0.189 0.720 0.345
Cl 0.203 0.218 0.999
Cl 0.498 0.718 0.655

***

No. 7
The following is a computed powder diffraction line list of AgSeCl5. It was derived from a structure optimized by DFT (PBE), using Cu Kα X-rays.

Main lines, sorted by position (2θ = 10–90°):
| two_theta | I_rel |
| --- | --- |
| 12.2 | 100 |
| 18.1 | 63 |
| 19.6 | 36 |
| 20.5 | 33 |
| 21.9 | 61 |
| 36.3 | 35 |

Structural model:
a b c (Å): 6.439 9.013 9.055
angles (deg): 106.31 104.94 104.82
Space group P-1 (No. 2)
Unique sites:
Ag 0.000 0.000 0.000
Ag 0.500 0.000 0.000
Se 0.250 0.419 0.580
Cl 0.160 0.716 0.586
Cl 0.199 0.454 0.816
Cl 0.250 0.878 0.120
Cl 0.301 0.182 0.544
Cl 0.340 0.415 0.285

***

No. 8
The following is a computed powder diffraction line list of Ag6SeCl3. It was derived from a structure optimized by DFT (PBE), using Cu Kα X-rays.

Main lines, sorted by position (2θ = 10–90°):
| two_theta | I_rel |
| --- | --- |
| 17.3 | 82 |
| 30.4 | 51 |
| 31.7 | 52 |
| 33.5 | 43 |
| 35.1 | 100 |
| 40.4 | 82 |

Structural model:
a b c (Å): 8.239 12.880 8.415
angles (deg): 90.00 90.00 90.00
Space group Cmc2_1 (No. 36)
Unique sites:
Ag 0.000 0.022 0.000
Ag 0.000 0.325 0.571
Ag 0.178 0.234 0.979
Ag 0.183 0.441 0.330
Se 0.000 0.122 0.726
Cl 0.000 0.407 0.069
Cl 0.228 0.140 0.254

***

No. 9
The following is a computed powder diffraction line list of AgSeCl2. It was derived from a structure optimized by DFT (PBE), using Cu Kα X-rays.

Main lines, sorted by position (2θ = 10–90°):
| two_theta | I_rel |
| --- | --- |
| 23.7 | 25 |
| 26.3 | 99 |
| 33.8 | 100 |
| 35.7 | 36 |
| 43.3 | 96 |
| 65.3 | 26 |

Structural model:
a b c (Å): 6.784 7.485 7.524
angles (deg): 90.00 90.00 90.00
Space group Fmmm (No. 69)
Unique sites:
Ag 0.000 0.000 0.000
Se 0.000 0.000 0.500
Cl 0.000 0.250 0.250

***

No. 10
The following is a computed powder diffraction line list of Ag5TeSe4Cl2. It was derived from a structure optimized by DFT (PBE), using Cu Kα X-rays.

Main lines, sorted by position (2θ = 10–90°):
| two_theta | I_rel |
| --- | --- |
| 26.4 | 76 |
| 27.5 | 100 |
| 33.5 | 28 |
| 39.0 | 49 |
| 45.9 | 37 |
| 46.8 | 46 |

Structural model:
a b c (Å): 7.907 11.868 6.483
angles (deg): 90.00 90.00 90.00
Space group Amm2 (No. 38)
Unique sites:
Ag 0.000 0.000 0.000
Ag 0.271 0.190 0.538
Te 0.500 0.000 0.185
Se 0.184 0.000 0.350
Se 0.500 0.166 0.910
Cl 0.000 0.183 0.792

***

> What is the formula in the first record?

Ag3SbCl

***

Please write out number 6 again, unchanged.
The following is a computed powder diffraction line list of Ag2SeCl6. It was derived from a structure optimized by DFT (PBE), using Cu Kα X-rays.

Main lines, sorted by position (2θ = 10–90°):
| two_theta | I_rel |
| --- | --- |
| 16.0 | 100 |
| 24.9 | 98 |
| 30.7 | 36 |
| 39.0 | 45 |
| 39.5 | 73 |
| 47.4 | 33 |

Structural model:
a b c (Å): 6.696 6.372 13.095
angles (deg): 90.00 120.70 90.00
Space group P2_1/c (No. 14)
Unique sites:
Ag 0.189 0.002 0.189
Se 0.500 0.000 0.000
Cl 0.189 0.720 0.345
Cl 0.203 0.218 0.999
Cl 0.498 0.718 0.655

***

Copy entry 4 word for word.
The following is a computed powder diffraction line list of ScTlAgCl5. It was derived from a structure optimized by DFT (PBE), using Cu Kα X-rays.

Main lines, sorted by position (2θ = 10–90°):
| two_theta | I_rel |
| --- | --- |
| 20.1 | 89 |
| 22.4 | 95 |
| 24.0 | 56 |
| 24.5 | 100 |
| 28.9 | 77 |
| 40.7 | 51 |

Structural model:
a b c (Å): 8.454 12.248 9.767
angles (deg): 90.00 110.40 90.00
Space group C2/c (No. 15)
Unique sites:
Sc 0.000 0.000 0.000
Tl 0.000 0.340 0.250
Ag 0.000 0.312 0.750
Cl 0.000 0.059 0.250
Cl 0.095 0.190 0.579
Cl 0.198 0.448 0.938

***

What did the second record say?
The following is a computed powder diffraction line list of ScAg3Cl7. It was derived from a structure optimized by DFT (PBE), using Cu Kα X-rays.

Main lines, sorted by position (2θ = 10–90°):
| two_theta | I_rel |
| --- | --- |
| 13.1 | 32 |
| 15.2 | 100 |
| 24.0 | 30 |
| 25.9 | 67 |
| 32.5 | 60 |
| 47.2 | 31 |

Structural model:
a b c (Å): 12.322 8.253 6.531
angles (deg): 90.00 108.53 90.00
Space group Cm (No. 8)
Unique sites:
Sc 0.000 0.000 0.000
Ag 0.000 0.225 0.528
Ag 0.130 0.500 0.086
Cl 0.080 0.500 0.677
Cl 0.116 0.221 0.265
Cl 0.146 0.000 0.827
Cl 0.373 0.500 0.255
Cl 0.381 0.286 0.780